Diffraction record for ThSnI6. The powder diffraction line list is theoretical, not measured: it uses a structure optimized by DFT (PBE) and Cu Kα, 1.54184 Å.

Structural model:
Cell: 7.824 7.824 14.220 Å, 90.00 90.00 120.00°
Fractional coordinates of all 16 atoms:
Th 0.333 0.667 0.250
Th 0.667 0.333 0.750
Sn 0.000 0.000 0.000
Sn 0.000 0.000 0.500
I 0.008 0.345 0.374
I 0.008 0.663 0.126
I 0.337 0.345 0.126
I 0.337 0.992 0.374
I 0.345 0.008 0.874
I 0.345 0.337 0.626
I 0.655 0.663 0.374
I 0.655 0.992 0.126
I 0.663 0.008 0.626
I 0.663 0.655 0.874
I 0.992 0.337 0.874
I 0.992 0.655 0.626

Largest 6 diffraction maxima, in order of rising 2θ, 10 to 80 degrees two-theta:
two_theta	d/Å	intensity
14.48	6.117	38
18.09	4.905	29
26.00	3.427	100
34.08	2.631	59
39.92	2.258	44
44.71	2.027	23

***

Diffraction record for ErMg5. The powder diffraction line list is theoretical, not measured: it uses a structure optimized by DFT (PBE) and Cu Kα, 1.54184 Å.

Structural model:
Cell: 3.257 3.257 15.993 Å, 90.00 90.00 120.00°
Fractional coordinates of all 6 atoms:
Er 0.000 0.000 0.000
Mg 0.000 0.000 0.339
Mg 0.000 0.000 0.661
Mg 0.333 0.667 0.177
Mg 0.333 0.667 0.500
Mg 0.333 0.667 0.823

Largest 6 diffraction maxima, in order of rising 2θ, 10 to 80 degrees two-theta:
two_theta	d/Å	intensity
11.06	7.997	71
16.63	5.331	31
31.72	2.821	37
32.22	2.778	38
33.66	2.662	61
36.02	2.493	100

***

Diffraction record for NpSnAu2. The powder diffraction line list is theoretical, not measured: it uses a structure optimized by DFT (PBE) and Cu Kα, 1.54184 Å.

Structural model:
Cell: 5.032 5.032 5.032 Å, 60.00 60.00 60.00°
Fractional coordinates of all 4 atoms:
Np 0.000 0.000 0.000
Sn 0.500 0.500 0.500
Au 0.250 0.250 0.250
Au 0.750 0.750 0.750

Largest 6 diffraction maxima, in order of rising 2θ, 10 to 80 degrees two-theta:
two_theta	d/Å	intensity
21.63	4.108	5
35.69	2.516	100
42.12	2.145	3
51.36	1.779	18
64.11	1.453	38
75.59	1.258	12

***

Diffraction record for SeCl4. The powder diffraction line list is theoretical, not measured: it uses a structure optimized by DFT (PBE) and Cu Kα, 1.54184 Å.

Structural model:
Cell: 10.147 10.147 15.946 Å, 113.04 113.04 61.24°
Fractional coordinates of all 40 atoms:
Se 0.236 0.759 0.616
Se 0.241 0.764 0.884
Se 0.342 0.390 0.186
Se 0.390 0.342 0.686
Se 0.610 0.658 0.314
Se 0.658 0.610 0.814
Se 0.759 0.236 0.116
Se 0.764 0.241 0.384
Cl 0.021 0.973 0.628
Cl 0.027 0.979 0.872
Cl 0.138 0.616 0.194
Cl 0.138 0.623 0.692
Cl 0.140 0.638 0.472
Cl 0.149 0.648 0.926
Cl 0.252 0.287 0.035
Cl 0.263 0.280 0.243
Cl 0.280 0.263 0.743
Cl 0.287 0.252 0.535
Cl 0.352 0.851 0.574
Cl 0.362 0.860 0.028
Cl 0.377 0.862 0.808
Cl 0.384 0.862 0.306
Cl 0.491 0.505 0.134
Cl 0.495 0.509 0.366
Cl 0.505 0.491 0.634
Cl 0.509 0.495 0.866
Cl 0.616 0.138 0.694
Cl 0.623 0.138 0.192
Cl 0.638 0.140 0.972
Cl 0.648 0.149 0.426
Cl 0.713 0.748 0.465
Cl 0.720 0.737 0.257
Cl 0.737 0.720 0.757
Cl 0.748 0.713 0.965
Cl 0.851 0.352 0.074
Cl 0.860 0.362 0.528
Cl 0.862 0.377 0.308
Cl 0.862 0.384 0.806
Cl 0.973 0.021 0.128
Cl 0.979 0.027 0.372

Largest 6 diffraction maxima, in order of rising 2θ, 10 to 80 degrees two-theta:
two_theta	d/Å	intensity
10.28	8.609	63
14.03	6.313	100
20.65	4.302	68
32.12	2.786	99
32.19	2.781	93
34.71	2.584	81

***

Diffraction record for TaNbAl6. The powder diffraction line list is theoretical, not measured: it uses a structure optimized by DFT (PBE) and Cu Kα, 1.54184 Å.

Structural model:
Cell: 3.857 3.857 8.598 Å, 90.00 90.00 90.00°
Fractional coordinates of all 8 atoms:
Ta 0.000 0.000 0.000
Nb 0.500 0.500 0.500
Al 0.000 0.000 0.500
Al 0.000 0.500 0.250
Al 0.000 0.500 0.750
Al 0.500 0.000 0.250
Al 0.500 0.000 0.750
Al 0.500 0.500 0.000

Largest 6 diffraction maxima, in order of rising 2θ, 10 to 80 degrees two-theta:
two_theta	d/Å	intensity
20.66	4.299	26
25.31	3.519	63
32.84	2.727	16
39.13	2.302	100
47.13	1.928	23
64.97	1.435	18

***

Diffraction record for Sm2S3. The powder diffraction line list is theoretical, not measured: it uses a structure optimized by DFT (PBE) and Cu Kα, 1.54184 Å.

Structural model:
Cell: 7.438 3.996 15.499 Å, 90.00 90.00 90.00°
Fractional coordinates of all 20 atoms:
Sm 0.143 0.250 0.205
Sm 0.235 0.750 0.457
Sm 0.265 0.250 0.957
Sm 0.357 0.750 0.705
Sm 0.643 0.250 0.295
Sm 0.735 0.750 0.043
Sm 0.765 0.250 0.543
Sm 0.857 0.750 0.795
S 0.010 0.250 0.391
S 0.125 0.750 0.068
S 0.147 0.250 0.781
S 0.353 0.750 0.281
S 0.375 0.250 0.568
S 0.490 0.750 0.891
S 0.510 0.250 0.109
S 0.625 0.750 0.432
S 0.647 0.250 0.719
S 0.853 0.750 0.219
S 0.875 0.250 0.932
S 0.990 0.750 0.609

Largest 6 diffraction maxima, in order of rising 2θ, 10 to 80 degrees two-theta:
two_theta	d/Å	intensity
24.62	3.616	22
25.94	3.434	100
28.23	3.161	30
34.93	2.569	41
37.34	2.409	20
38.70	2.326	26